1.
Structure and computed powder X-ray diffraction pattern of Lu3NiCN (the GGA-PBE geometry in OQMD; Cu Kα).
Intensities are scaled so that the largest is 100.

Structure:
```
data_Lu3NiCN
_chemical_formula_sum 'Lu6 Ni2 C2 N2'
_cell_length_a 3.4335
_cell_length_b 3.4335
_cell_length_c 18.6489
_cell_angle_alpha 90.00
_cell_angle_beta 90.00
_cell_angle_gamma 120.00
_space_group_name_H-M_alt 'P -3 m 1'
_space_group_IT_number 164
_space_group_name_Hall '-P 3 2"'
loop_
_atom_site_label
_atom_site_fract_x
_atom_site_fract_y
_atom_site_fract_z
Lu1 0.0000 0.0000 0.0000
Lu2 0.0000 0.0000 0.5000
Lu3 0.3333 0.6667 0.1439
Lu4 0.3333 0.6667 0.3534
Ni1 0.0000 0.0000 0.2445
C1 0.3333 0.6667 0.5807
N1 0.3333 0.6667 0.9267
```

Top 12 peaks for 2θ from 10° to 80°, in order of rising 2θ:
h k l  two_theta  I/Imax
0 0 6  28.72  20
1 0 1  30.44  51
1 0 2  31.58  19
0 1 4  35.82  100
0 0 8  38.62  14
1 0 5  38.73  50
1 1 0  53.37  38
0 1 9  53.93  18
0 1 10  58.41  13
1 1 6  61.73  15
2 0 4  65.95  17
1 1 8  67.82  26



2.
Structure and computed powder X-ray diffraction pattern of Na2Cd3Si3O10 (the GGA-PBE geometry in OQMD; Cu Kα).
Intensities are scaled so that the largest is 100.

Structure:
```
data_Na2Cd3Si3O10
_chemical_formula_sum 'Na8 Cd12 Si12 O40'
_cell_length_a 16.364
_cell_length_b 5.104
_cell_length_c 10.933
_cell_angle_alpha 90.00
_cell_angle_beta 93.23
_cell_angle_gamma 90.00
_space_group_name_H-M_alt 'C 1 2/c 1'
_space_group_IT_number 15
loop_
_space_group_symop_operation_xyz
'x,y,z'
'-x,-y,-z'
'-x,y,-z+1/2'
'x,-y,z+1/2'
'x+1/2,y+1/2,z'
'-x+1/2,-y+1/2,-z'
'-x+1/2,y+1/2,-z+1/2'
'x+1/2,-y+1/2,z+1/2'
loop_
_atom_site_label
_atom_site_fract_x
_atom_site_fract_y
_atom_site_fract_z
Na1 0.043 0.241 0.467
Cd1 0.156 0.217 0.208
Cd2 0.250 0.250 0.500
Si1 0.000 0.191 0.750
Si2 0.150 0.311 0.901
O1 0.046 0.021 0.650
O2 0.062 0.402 0.826
O3 0.145 0.446 0.036
O4 0.155 0.007 0.398
O5 0.222 0.465 0.830
```

Top 12 peaks for 2θ from 10° to 80°, in order of rising 2θ:
h k l  two_theta  I/Imax
2 0 0  10.83  67
3 1 -1  24.96  100
4 0 2  28.01  15
1 1 -3  30.41  27
1 1 3  30.92  61
5 1 -1  33.19  35
3 1 -3  33.77  17
2 0 -4  34.00  46
0 2 0  35.15  49
6 0 -2  36.02  17
4 2 2  45.55  28
6 2 -2  51.22  18



3.
Structure and computed powder X-ray diffraction pattern of LaMgAl7Fe2 (the GGA-PBE geometry in OQMD; Cu Kα).
Intensities are scaled so that the largest is 100.

Structure:
```
data_LaMgAl7Fe2
_chemical_formula_sum 'La4 Mg4 Al28 Fe8'
_cell_length_a 12.899
_cell_length_b 14.570
_cell_length_c 4.014
_cell_angle_alpha 90.00
_cell_angle_beta 90.00
_cell_angle_gamma 90.00
_space_group_name_H-M_alt 'P b a m'
_space_group_IT_number 55
loop_
_space_group_symop_operation_xyz
'x,y,z'
'-x,-y,-z'
'-x,-y,z'
'x,y,-z'
'x+1/2,-y+1/2,-z'
'-x+1/2,y+1/2,z'
'-x+1/2,y+1/2,-z'
'x+1/2,-y+1/2,z'
loop_
_atom_site_label
_atom_site_fract_x
_atom_site_fract_y
_atom_site_fract_z
La1 0.161 0.182 0.000
Mg1 0.170 0.452 0.000
Al1 0.000 0.000 0.000
Al2 0.000 0.500 0.500
Al3 0.022 0.866 0.500
Al4 0.049 0.323 0.500
Al5 0.091 0.743 0.000
Al6 0.157 0.618 0.500
Al7 0.162 0.004 0.500
Al8 0.226 0.826 0.500
Fe1 0.033 0.590 0.000
Fe2 0.137 0.898 0.000
```

Top 12 peaks for 2θ from 10° to 80°, in order of rising 2θ:
h k l  two_theta  I/Imax
3 1 0  21.55  39
0 0 1  22.14  39
2 3 0  22.92  23
1 4 0  25.40  28
3 3 0  27.70  32
1 4 1  33.95  66
3 3 1  35.75  100
4 1 1  36.26  46
5 4 0  42.96  29
0 0 2  45.17  43
2 7 0  45.82  36
2 7 1  51.44  21